1.
Computed powder diffraction line list
Compound: Hf2TaC3
Radiation: Cu Kα (λ = 1.5418 Å)
Structure: a cell relaxed with PBE

Main lines, most intense first (2θ = 10–90°):
2θ = 33.85°, I 100
2θ = 39.28°, I 64
2θ = 56.77°, I 43
2θ = 67.80°, I 28
2θ = 71.21°, I 15
2θ = 67.68°, I 14
2θ = 84.56°, I 5
2θ = 84.34°, I 2

a = 6.4807 Å, b = 4.5936 Å, c = 9.7250 Å
α = 90.00°, β = 90.00°, γ = 90.00°
Fractional positions:
Hf 0.1246 0.2500 0.2488
Hf 0.1265 0.2500 0.9169
Hf 0.3735 0.7500 0.4169
Hf 0.3754 0.7500 0.7488
Hf 0.6246 0.2500 0.2512
Hf 0.6265 0.2500 0.5831
Hf 0.8735 0.7500 0.0831
Hf 0.8754 0.7500 0.7512
Ta 0.1237 0.2500 0.5842
Ta 0.3763 0.7500 0.0842
Ta 0.6237 0.2500 0.9158
Ta 0.8763 0.7500 0.4158
C 0.1210 0.7500 0.5812
C 0.1244 0.7500 0.2507
C 0.1298 0.7500 0.9187
C 0.3702 0.2500 0.4187
C 0.3756 0.2500 0.7507
C 0.3790 0.2500 0.0812
C 0.6210 0.7500 0.9188
C 0.6244 0.7500 0.2493
C 0.6298 0.7500 0.5813
C 0.8702 0.2500 0.0813
C 0.8756 0.2500 0.7493
C 0.8790 0.2500 0.4188


2.
Computed powder diffraction line list
Compound: KVSe2
Radiation: Cu Kα (λ = 1.5418 Å)
Structure: a cell relaxed with PBE

Main lines, most intense first (2θ = 10–90°):
2θ = 13.87°, I 100
2θ = 31.41°, I 58
2θ = 27.01°, I 55
2θ = 31.74°, I 54
2θ = 26.83°, I 51
2θ = 15.34°, I 43
2θ = 31.14°, I 40
2θ = 14.57°, I 40
2θ = 42.72°, I 39
2θ = 27.96°, I 39

a = 5.7446 Å, b = 7.0317 Å, c = 7.2874 Å
α = 112.28°, β = 113.21°, γ = 90.90°
Fractional positions:
K 0.1870 0.2334 0.3844
K 0.8130 0.7666 0.6156
V 0.2521 0.5002 0.0001
V 0.7479 0.4998 0.9999
Se 0.1480 0.7188 0.2878
Se 0.4427 0.6993 0.8773
Se 0.5573 0.3007 0.1227
Se 0.8520 0.2812 0.7122


3.
Computed powder diffraction line list
Compound: Nd3Tl2Cd7
Radiation: Cu Kα (λ = 1.5418 Å)
Structure: a cell relaxed with PBE

Main lines, most intense first (2θ = 10–90°):
2θ = 34.72°, I 100
2θ = 29.37°, I 36
2θ = 37.42°, I 27
2θ = 55.61°, I 26
2θ = 60.93°, I 23
2θ = 36.71°, I 19
2θ = 34.18°, I 17
2θ = 36.23°, I 16
2θ = 55.82°, I 15
2θ = 87.09°, I 15

a = 10.4035 Å, b = 10.4035 Å, c = 10.4035 Å
α = 33.99°, β = 33.99°, γ = 33.99°
Fractional positions:
Nd 0.0000 0.0000 0.0000
Nd 0.1418 0.1418 0.1418
Nd 0.8582 0.8582 0.8582
Tl 0.3352 0.3352 0.3352
Tl 0.6648 0.6648 0.6648
Cd 0.0793 0.5918 0.5918
Cd 0.4082 0.4082 0.9207
Cd 0.4082 0.9207 0.4082
Cd 0.5000 0.5000 0.5000
Cd 0.5918 0.0793 0.5918
Cd 0.5918 0.5918 0.0793
Cd 0.9207 0.4082 0.4082